(1)
For Ce2Dy2O7, a crystal structure in the Materials Project, relaxed with PBE gives the theoretical X-ray powder pattern in this record (Cu Kα (weighted mean of Kα1 and Kα2)).
Intensities are scaled so that the largest is 100.

Peak list (10 most intense, 2θ = 10–90°, by angle)
2θ 28.16, I 100.0, (2 0 2)
2θ 28.84, I 94.1, (0 1 2)
2θ 32.86, I 20.4, (0 0 4)
2θ 33.11, I 43.6, (2 1 0)
2θ 46.64, I 16.9, (4 0 0)
2θ 47.34, I 63.2, (2 1 4)
2θ 48.41, I 16.2, (0 2 0)
2θ 55.78, I 42.9, (4 1 2)
2θ 56.22, I 12.9, (0 1 6)
2θ 56.95, I 27.9, (2 2 2)

Crystal structure
```
Ce2Dy2O7
1.0
7.790 0.000 0.000
0.000 3.760 0.000
0.000 0.000 10.903
Ce Dy O
4 4 14
Cartesian
0.000 0.000 0.000 Ce
1.948 1.880 2.771 Ce
3.895 0.000 0.000 Ce
5.843 1.880 8.132 Ce
0.000 0.000 5.452 Dy
1.948 1.880 8.376 Dy
3.895 0.000 5.452 Dy
5.843 1.880 2.527 Dy
0.084 1.880 1.336 O
0.330 1.880 6.818 O
1.948 0.000 1.451 O
1.948 0.000 4.272 O
1.948 0.000 9.498 O
3.565 1.880 6.818 O
3.811 1.880 1.336 O
3.979 1.880 9.567 O
4.226 1.880 4.085 O
5.843 0.000 1.405 O
5.843 0.000 6.632 O
5.843 0.000 9.452 O
7.460 1.880 4.085 O
7.706 1.880 9.567 O
```

(2)
For DyIr3, a crystal structure in the Materials Project, relaxed with PBE gives the theoretical X-ray powder pattern in this record (Cu Kα (weighted mean of Kα1 and Kα2)).
Intensities are scaled so that the largest is 100.

Peak list (5 most intense, 2θ = 10–90°, by angle)
2θ 38.42, I 100.0, (1 1 1)
2θ 44.66, I 49.3, (2 0 0)
2θ 65.01, I 32.6, (2 2 0)
2θ 78.12, I 38.9, (3 1 1)
2θ 82.32, I 11.4, (2 2 2)

Crystal structure
```
DyIr3
1.0
4.058 0.000 0.000
0.000 4.058 0.000
0.000 0.000 4.058
Dy Ir
1 3
Cartesian
0.000 0.000 0.000 Dy
0.000 2.029 2.029 Ir
2.029 0.000 2.029 Ir
2.029 2.029 0.000 Ir
```